# 1
Pa2GaRh5: calculated PXRD pattern (Cu Ka), based on the PBE geometry in Alexandria.

Structural model:
```
data_Pa2GaRh5
_chemical_formula_sum 'Pa8 Ga4 Rh20'
_cell_length_a 3.9834
_cell_length_b 15.6708
_cell_length_c 11.6569
_cell_angle_alpha 90.00
_cell_angle_beta 90.00
_cell_angle_gamma 90.00
_symmetry_space_group_name_H-M 'C m c m'
_symmetry_Int_Tables_number 63
_symmetry_space_group_name_Hall '-C 2c 2'
loop_
_atom_site_label
_atom_site_type_symbol
_atom_site_fract_x
_atom_site_fract_y
_atom_site_fract_z
Pa1 Pa 0.0000 0.1314 0.0848
Ga1 Ga 0.0000 0.1458 0.7500
Rh1 Rh 0.0000 0.0110 0.6233
Rh2 Rh 0.0000 0.2440 0.2500
Rh3 Rh 0.0000 0.2503 0.5844
```

The 10 most intense peaks (2θ = 10–90°), low angle first:
2θ/deg  d/Å  I_rel  hkl
11.29  7.835  21  0 2 0
13.62  6.503  21  0 2 1
23.04  3.861  100  1 1 0
25.59  3.481  58  0 2 3
36.60  2.455  67  1 3 3
41.67  2.168  22  0 6 3
43.50  2.080  78  1 5 3
45.54  1.992  30  2 0 0
46.35  1.959  22  0 8 0
46.53  1.952  19  1 7 0



# 2
BaSr5Cd: calculated PXRD pattern (Cu Ka), based on the PBE geometry in Alexandria.

Structural model:
```
data_BaSr5Cd
_chemical_formula_sum 'Ba1 Sr5 Cd1'
_cell_length_a 5.8911
_cell_length_b 5.8911
_cell_length_c 10.4559
_cell_angle_alpha 90.00
_cell_angle_beta 90.00
_cell_angle_gamma 90.00
_symmetry_space_group_name_H-M 'P 4/m m m'
_symmetry_Int_Tables_number 123
_symmetry_space_group_name_Hall '-P 4 2'
loop_
_atom_site_label
_atom_site_type_symbol
_atom_site_fract_x
_atom_site_fract_y
_atom_site_fract_z
Ba1 Ba 0.0000 0.0000 0.0000
Sr1 Sr 0.0000 0.5000 0.3110
Sr2 Sr 0.5000 0.5000 0.0000
Cd1 Cd 0.5000 0.5000 0.5000
```

The 10 most intense peaks (2θ = 10–90°), low angle first:
2θ/deg  d/Å  I_rel  hkl
17.28  5.132  22  1 0 1
22.98  3.870  25  1 1 1
25.56  3.485  16  0 0 3
27.38  3.258  100  1 1 2
30.34  2.946  52  2 0 0
40.08  2.250  19  2 0 3
40.75  2.214  10  1 1 4
43.45  2.083  19  2 2 0
48.72  1.869  11  1 1 5
52.12  1.755  33  3 1 2



# 3
CsOs2Br8: calculated PXRD pattern (Cu Ka), based on the PBE geometry in Alexandria.

Structural model:
```
data_CsOs2Br8
_chemical_formula_sum 'Cs1 Os2 Br8'
_cell_length_a 5.2573
_cell_length_b 7.8943
_cell_length_c 9.9662
_cell_angle_alpha 104.58
_cell_angle_beta 105.09
_cell_angle_gamma 90.02
_symmetry_space_group_name_H-M 'P -1'
_symmetry_Int_Tables_number 2
loop_
_symmetry_equiv_pos_as_xyz
'x,y,z'
'-x,-y,-z'
loop_
_atom_site_label
_atom_site_type_symbol
_atom_site_fract_x
_atom_site_fract_y
_atom_site_fract_z
Cs1 Cs 0.0000 0.0000 0.0000
Os1 Os 0.3074 0.4075 0.6165
Br1 Br 0.2070 0.5629 0.4128
Br2 Br 0.2192 0.1286 0.4376
Br3 Br 0.3935 0.7014 0.7899
Br4 Br 0.4054 0.2648 0.8160
```

The 10 most intense peaks (2θ = 10–90°), low angle first:
2θ/deg  d/Å  I_rel  hkl
11.61  7.621  42  0 1 0
12.96  6.830  25  0 1 -1
16.86  5.258  56  0 1 1
20.37  4.360  80  1 1 -1
22.18  4.008  28  1 0 1
32.14  2.785  56  0 2 -3
34.11  2.629  100  2 0 -1
47.50  1.914  25  2 -2 2
47.63  1.909  25  2 2 -4
48.98  1.860  29  2 2 1



# 4
RbNaVSe3: calculated PXRD pattern (Cu Ka), based on the PBE geometry in Alexandria.

Structural model:
```
data_RbNaVSe3
_chemical_formula_sum 'Rb4 Na4 V4 Se12'
_cell_length_a 7.5087
_cell_length_b 13.8767
_cell_length_c 6.9887
_cell_angle_alpha 90.00
_cell_angle_beta 90.00
_cell_angle_gamma 90.00
_symmetry_space_group_name_H-M 'C m c m'
_symmetry_Int_Tables_number 63
_symmetry_space_group_name_Hall '-C 2c 2'
loop_
_atom_site_label
_atom_site_type_symbol
_atom_site_fract_x
_atom_site_fract_y
_atom_site_fract_z
Rb1 Rb 0.0000 0.2249 0.2500
Na1 Na 0.0000 0.4320 0.7500
V1 V 0.0000 0.0589 0.7500
Se1 Se 0.0000 0.2240 0.7500
Se2 Se 0.2128 0.0000 0.0000
```

The 10 most intense peaks (2θ = 10–90°), low angle first:
2θ/deg  d/Å  I_rel  hkl
13.41  6.604  58  1 1 0
25.68  3.469  67  0 4 0
25.97  3.431  18  1 3 1
27.00  3.302  83  2 2 0
28.60  3.121  82  0 2 2
35.08  2.558  100  2 0 2
43.98  2.059  54  2 4 2
46.10  1.969  26  2 6 0
47.12  1.929  27  0 6 2
59.89  1.544  17  2 2 4



# 5
LiSb7: calculated PXRD pattern (Cu Ka), based on the PBE geometry in Alexandria.

Structural model:
```
data_LiSb7
_chemical_formula_sum 'Li4 Sb28'
_cell_length_a 9.4864
_cell_length_b 9.4864
_cell_length_c 9.4864
_cell_angle_alpha 90.00
_cell_angle_beta 90.00
_cell_angle_gamma 90.00
_symmetry_space_group_name_H-M 'F m -3 m'
_symmetry_Int_Tables_number 225
_symmetry_space_group_name_Hall '-F 4 2 3'
loop_
_atom_site_label
_atom_site_type_symbol
_atom_site_fract_x
_atom_site_fract_y
_atom_site_fract_z
Li1 Li 0.0000 0.0000 0.0000
Sb1 Sb 0.0000 0.0000 0.5000
Sb2 Sb 0.0000 0.2500 0.2500
```

The 10 most intense peaks (2θ = 10–90°), low angle first:
2θ/deg  d/Å  I_rel  hkl
16.18  5.477  10  1 1 1
18.71  4.743  6  2 0 0
26.58  3.354  5  2 2 0
31.27  2.860  6  3 1 1
32.70  2.739  100  2 2 2
37.94  2.372  50  4 0 0
54.74  1.677  34  4 4 0
65.24  1.430  40  6 2 2
68.53  1.369  11  4 4 4
81.10  1.186  5  8 0 0



# 6
La2TbSm3Y6: calculated PXRD pattern (Cu Ka), based on the PBE geometry in Alexandria.

Structural model:
```
data_La2TbSm3Y6
_chemical_formula_sum 'La4 Tb2 Sm6 Y12'
_cell_length_a 6.2723
_cell_length_b 10.8624
_cell_length_c 11.9013
_cell_angle_alpha 90.00
_cell_angle_beta 100.09
_cell_angle_gamma 90.00
_symmetry_space_group_name_H-M 'C 1 2/m 1'
_symmetry_Int_Tables_number 12
loop_
_symmetry_equiv_pos_as_xyz
'x,y,z'
'-x,-y,-z'
'-x,y,-z'
'x,-y,z'
'x+1/2,y+1/2,z'
'-x+1/2,-y+1/2,-z'
'-x+1/2,y+1/2,-z'
'x+1/2,-y+1/2,z'
loop_
_atom_site_label
_atom_site_type_symbol
_atom_site_fract_x
_atom_site_fract_y
_atom_site_fract_z
La1 La 0.0000 0.1662 0.0000
Tb1 Tb 0.0000 0.5000 0.0000
Sm1 Sm 0.0000 0.0000 0.5000
Sm2 Sm 0.0000 0.3332 0.5000
Y1 Y 0.2482 0.5000 0.7478
Y2 Y 0.2498 0.1662 0.7482
```

The 10 most intense peaks (2θ = 10–90°), low angle first:
2θ/deg  d/Å  I_rel  hkl
30.26  2.954  100  1 3 1
30.52  2.929  33  0 0 4
35.16  2.553  67  2 0 2
50.40  1.811  24  0 6 0
50.74  1.799  23  1 3 5
59.93  1.544  14  4 0 0
60.07  1.540  28  3 3 3
60.37  1.533  14  2 0 6
62.94  1.477  12  2 6 2
82.04  1.175  11  4 6 0



# 7
CoPd3Br: calculated PXRD pattern (Cu Ka), based on the PBE geometry in Alexandria.

Structural model:
```
data_CoPd3Br
_chemical_formula_sum 'Co1 Pd3 Br1'
_cell_length_a 4.6572
_cell_length_b 4.6572
_cell_length_c 4.6572
_cell_angle_alpha 90.00
_cell_angle_beta 90.00
_cell_angle_gamma 90.00
_symmetry_space_group_name_H-M 'P m -3 m'
_symmetry_Int_Tables_number 221
_symmetry_space_group_name_Hall '-P 4 2 3'
loop_
_atom_site_label
_atom_site_type_symbol
_atom_site_fract_x
_atom_site_fract_y
_atom_site_fract_z
Co1 Co 0.0000 0.0000 0.0000
Pd1 Pd 0.0000 0.0000 0.5000
Br1 Br 0.5000 0.5000 0.5000
```

The 10 most intense peaks (2θ = 10–90°), low angle first:
2θ/deg  d/Å  I_rel  hkl
19.06  4.657  20  1 0 0
27.08  3.293  3  1 1 0
33.32  2.689  100  1 1 1
38.67  2.329  92  2 0 0
43.45  2.083  9  2 1 0
55.84  1.647  61  2 2 0
59.55  1.552  4  3 0 0
66.60  1.404  39  3 1 1
69.98  1.344  20  2 2 2
82.93  1.164  10  4 0 0



# 8
OsAuSBr2: calculated PXRD pattern (Cu Ka), based on the PBE geometry in Alexandria.

Structural model:
```
data_OsAuSBr2
_chemical_formula_sum 'Os1 Au1 S1 Br2'
_cell_length_a 5.1711
_cell_length_b 5.1711
_cell_length_c 5.3731
_cell_angle_alpha 90.00
_cell_angle_beta 90.00
_cell_angle_gamma 90.00
_symmetry_space_group_name_H-M 'P 4/m m m'
_symmetry_Int_Tables_number 123
_symmetry_space_group_name_Hall '-P 4 2'
loop_
_atom_site_label
_atom_site_type_symbol
_atom_site_fract_x
_atom_site_fract_y
_atom_site_fract_z
Os1 Os 0.0000 0.0000 0.0000
Au1 Au 0.0000 0.0000 0.5000
S1 S 0.5000 0.5000 0.0000
Br1 Br 0.0000 0.5000 0.5000
```

The 10 most intense peaks (2θ = 10–90°), low angle first:
2θ/deg  d/Å  I_rel  hkl
17.15  5.171  100  1 0 0
24.34  3.657  23  1 1 0
33.35  2.687  28  0 0 2
34.69  2.586  51  2 0 0
37.73  2.384  30  1 0 2
38.95  2.313  27  2 1 0
48.89  1.863  38  2 0 2
49.88  1.828  18  2 2 0
52.19  1.753  24  2 1 2
61.33  1.511  19  2 2 2



# 9
Y3Ge13Pt4: calculated PXRD pattern (Cu Ka), based on the PBE geometry in Alexandria.

Structural model:
```
data_Y3Ge13Pt4
_chemical_formula_sum 'Y18 Ge78 Pt24'
_cell_length_a 12.8739
_cell_length_b 12.8739
_cell_length_c 15.8514
_cell_angle_alpha 90.00
_cell_angle_beta 90.00
_cell_angle_gamma 120.00
_symmetry_space_group_name_H-M 'R 3 c'
_symmetry_Int_Tables_number 161
_symmetry_space_group_name_Hall 'R 3 -2"c'
loop_
_atom_site_label
_atom_site_type_symbol
_atom_site_fract_x
_atom_site_fract_y
_atom_site_fract_z
Y1 Y 0.0841 0.4160 0.0000
Ge1 Ge 0.0000 0.0000 0.0869
Ge2 Ge 0.0041 0.1764 0.9125
Ge3 Ge 0.0488 0.2071 0.5345
Ge4 Ge 0.1002 0.3708 0.8107
Ge5 Ge 0.1476 0.0146 0.7171
Pt1 Pt 0.0000 0.0000 0.3346
Pt2 Pt 0.0001 0.4969 0.8324
```

The 10 most intense peaks (2θ = 10–90°), low angle first:
2θ/deg  d/Å  I_rel  hkl
19.47  4.560  100  2 0 2
27.62  3.230  42  0 2 4
34.10  2.629  83  0 4 2
35.43  2.533  54  1 2 5
35.55  2.525  47  3 2 1
39.53  2.280  86  4 0 4
44.36  2.042  48  2 2 6
44.49  2.036  38  4 2 2
48.99  1.860  96  6 0 0
68.28  1.374  39  8 0 2



# 10
CdAsN3: calculated PXRD pattern (Cu Ka), based on the PBE geometry in Alexandria.

Structural model:
```
data_CdAsN3
_chemical_formula_sum 'Cd1 As1 N3'
_cell_length_a 3.8146
_cell_length_b 3.8146
_cell_length_c 3.8146
_cell_angle_alpha 90.00
_cell_angle_beta 90.00
_cell_angle_gamma 90.00
_symmetry_space_group_name_H-M 'P m -3 m'
_symmetry_Int_Tables_number 221
_symmetry_space_group_name_Hall '-P 4 2 3'
loop_
_atom_site_label
_atom_site_type_symbol
_atom_site_fract_x
_atom_site_fract_y
_atom_site_fract_z
Cd1 Cd 0.0000 0.0000 0.0000
As1 As 0.5000 0.5000 0.5000
N1 N 0.0000 0.5000 0.5000
```

The 10 most intense peaks (2θ = 10–90°), low angle first:
2θ/deg  d/Å  I_rel  hkl
23.32  3.815  2  1 0 0
33.21  2.697  100  1 1 0
40.98  2.202  7  1 1 1
47.68  1.907  29  2 0 0
53.73  1.706  1  2 1 0
59.34  1.557  37  2 1 1
69.73  1.349  17  2 2 0
79.45  1.206  16  3 1 0
84.18  1.150  2  3 1 1
88.87  1.101  6  2 2 2